Structure and calculated powder XRD pattern of K3Np3RuS8 (the PBE geometry in Alexandria; λ = 1.5418 Å (Cu Kα)).

Structure:
a b c (Å): 7.6952 7.6952 22.8866
angles (deg): 90.00 90.00 120.00
Space group R-3m (No. 166, hexagonal axes)
Asymmetric unit:
K1 0.0000 0.5000 0.0000
Np1 0.0000 0.5000 0.5000
Ru1 0.0000 0.0000 0.5000
S1 0.0000 0.0000 0.2354
S2 0.0232 0.5116 0.2294

Peak list (10 most intense, 2θ from 10° to 90°, sorted by position)
11.6 deg, intensity 100, (0 0 3)
23.3 deg, intensity 18, (0 0 6)
27.0 deg, intensity 30, (0 2 1)
27.9 deg, intensity 30, (2 0 2)
31.1 deg, intensity 70, (0 2 4)
38.6 deg, intensity 22, (0 2 7)
41.6 deg, intensity 27, (2 0 8)
47.2 deg, intensity 22, (2 2 0)
48.8 deg, intensity 18, (2 2 3)
53.3 deg, intensity 13, (2 2 6)

---

Structure and calculated powder XRD pattern of K2Np3SnS8 (the PBE geometry in Alexandria; λ = 1.5418 Å (Cu Kα)).

Structure:
a b c (Å): 8.0784 8.0784 23.0670
angles (deg): 90.00 90.00 120.00
Space group R3m (No. 160, hexagonal axes)
Asymmetric unit:
K1 0.0000 0.0000 0.0000
K2 0.0000 0.0000 0.3648
Np1 0.0044 0.5022 0.8663
Sn1 0.0000 0.0000 0.7550
S1 0.0000 0.0000 0.1368
S2 0.0000 0.0000 0.5904
S3 0.0096 0.5048 0.1358
S4 0.1828 0.3656 0.9269

Peak list (10 most intense, 2θ from 10° to 90°, sorted by position)
11.5 deg, intensity 100, (0 0 3)
20.0 deg, intensity 25, (1 0 4)
23.1 deg, intensity 34, (0 0 6)
24.9 deg, intensity 32, (1 1 3)
25.8 deg, intensity 58, (0 2 1)
26.6 deg, intensity 24, (2 0 2)
29.9 deg, intensity 52, (0 2 4)
37.5 deg, intensity 44, (0 2 7)
40.5 deg, intensity 32, (2 0 8)
44.9 deg, intensity 32, (2 2 0)

---

Structure and calculated powder XRD pattern of K3Np2SnS6 (the PBE geometry in Alexandria; λ = 1.5418 Å (Cu Kα)).

Structure:
a b c (Å): 7.1826 12.4340 7.6710
angles (deg): 90.00 108.20 90.00
Space group C2/m (No. 12)
Asymmetric unit:
K1 0.0000 0.0000 0.0000
K2 0.0000 0.3395 0.0000
Np1 0.0000 0.1672 0.5000
Sn1 0.0000 0.5000 0.5000
S1 0.2143 0.0000 0.7008
S2 0.2442 0.3235 0.7020

Peak list (10 most intense, 2θ from 10° to 90°, sorted by position)
12.1 deg, intensity 88, (0 0 1)
24.4 deg, intensity 20, (0 0 2)
25.1 deg, intensity 36, (1 3 0)
26.1 deg, intensity 45, (2 0 0)
29.8 deg, intensity 100, (1 3 1)
38.2 deg, intensity 23, (2 0 -3)
41.5 deg, intensity 36, (2 0 2)
43.7 deg, intensity 36, (3 3 -1)
45.5 deg, intensity 22, (0 6 1)
53.7 deg, intensity 19, (4 0 0)